Simulated X-ray powder pattern of Co9O13 for Cu Kα, from a structure optimized by DFT (GGA+U).
Intensities are scaled so that the largest is 1000.

Structural model:
```
Co9O13
1.0
4.913 -1.501 0.000
4.913 1.501 0.000
-2.498 0.000 16.749
Co O
9 13
Direct
0.000 0.000 0.000 Co
0.148 0.148 0.543 Co
0.249 0.249 0.917 Co
0.438 0.438 0.627 Co
0.487 0.487 0.825 Co
0.513 0.513 0.175 Co
0.562 0.562 0.373 Co
0.751 0.751 0.083 Co
0.852 0.852 0.457 Co
0.071 0.071 0.632 O
0.110 0.110 0.104 O
0.120 0.120 0.830 O
0.204 0.204 0.436 O
0.367 0.367 0.026 O
0.391 0.391 0.726 O
0.500 0.500 0.500 O
0.609 0.609 0.274 O
0.633 0.633 0.974 O
0.796 0.796 0.564 O
0.880 0.880 0.170 O
0.890 0.890 0.896 O
0.929 0.929 0.368 O
```

Peak list (6 most intense, 2θ from 10° to 80°, low angle first)
| d (Å) | 2θ/deg | Rel. int. |
| --- | --- | --- |
| 8.374 | 10.6 | 1000 |
| 2.592 | 34.6 | 380 |
| 2.585 | 34.7 | 301 |
| 2.123 | 42.6 | 228 |
| 2.034 | 44.5 | 303 |
| 1.501 | 61.8 | 185 |

***

Simulated X-ray powder pattern of CoO2 for Cu Kα, from a structure optimized by DFT (GGA+U).
Intensities are scaled so that the largest is 1000.

Structural model:
```
CoO2
1.0
1.413 0.816 10.385
-1.413 0.816 10.385
0.000 -1.631 10.385
Co O
2 4
Direct
0.000 0.000 0.000 Co
0.500 0.500 0.500 Co
0.136 0.136 0.136 O
0.303 0.303 0.303 O
0.697 0.697 0.697 O
0.864 0.864 0.864 O
```

Peak list (6 most intense, 2θ from 10° to 80°, low angle first)
| d (Å) | 2θ/deg | Rel. int. |
| --- | --- | --- |
| 5.193 | 17.1 | 1000 |
| 2.417 | 37.2 | 150 |
| 2.334 | 38.6 | 157 |
| 2.072 | 43.7 | 161 |
| 1.924 | 47.2 | 150 |
| 1.646 | 55.8 | 110 |

***

Simulated X-ray powder pattern of CoO2 for Cu Kα, from a structure optimized by DFT (GGA+U).
Intensities are scaled so that the largest is 1000.

Structural model:
```
CoO2
1.0
0.000 3.962 4.073
3.934 0.000 4.073
3.934 3.962 0.000
Co O
4 8
Direct
0.000 0.000 0.000 Co
0.000 0.000 0.500 Co
0.000 0.500 0.000 Co
0.500 0.000 0.000 Co
0.208 0.759 0.765 O
0.232 0.235 0.241 O
0.235 0.232 0.792 O
0.241 0.792 0.232 O
0.759 0.208 0.768 O
0.765 0.768 0.208 O
0.768 0.765 0.759 O
0.792 0.241 0.235 O
```

Peak list (6 most intense, 2θ from 10° to 80°, low angle first)
| d (Å) | 2θ/deg | Rel. int. |
| --- | --- | --- |
| 4.606 | 19.3 | 1000 |
| 2.393 | 37.6 | 122 |
| 2.381 | 37.8 | 124 |
| 2.037 | 44.5 | 170 |
| 1.981 | 45.8 | 157 |
| 1.967 | 46.1 | 154 |